This entry pairs a crystal structure of RbAlFe2F2 with its calculated powder XRD pattern. Radiation: Cu Kα (weighted mean of Kα1 and Kα2). Structure: a structure optimized by DFT (PBE+U).
Lines closer than 0.1° are merged.

Largest 6 diffraction maxima, sorted by position, 10° ≤ 2θ ≤ 80°:
2θ = 26.3°, I 74; 2θ = 27.4°, I 59; 2θ = 32.8°, I 92; 2θ = 33.5°, I 68; 2θ = 46.1°, I 100; 2θ = 60.9°, I 52

Crystal structure
abc: 6.5048 6.5048 6.7773
angles: 90.00 90.00 90.00
Space group P4/mbm (No. 127)
Symmetry-distinct sites (fractional):
Rb: 0.0000 0.5000 0.0000 [2 per cell]
Al: 0.0000 0.0000 0.5000 [2 per cell]
Fe: 0.1424 0.3576 0.5000 [4 per cell]
F: 0.0000 0.0000 0.2269 [4 per cell]

This entry pairs a crystal structure of Zn2Mo3O8 with its calculated powder XRD pattern. Radiation: Cu Kα (weighted mean of Kα1 and Kα2). Structure: a structure optimized by DFT (PBE+U).
Lines closer than 0.1° are merged.

Largest 6 diffraction maxima, sorted by position, 10° ≤ 2θ ≤ 80°:
2θ = 17.9°, I 40; 2θ = 28.2°, I 46; 2θ = 33.7°, I 100; 2θ = 34.4°, I 49; 2θ = 41.3°, I 49; 2θ = 60.1°, I 52

Crystal structure
abc: 6.3046 12.1041 8.6772
angles: 90.00 90.00 90.00
Space group Cmce (No. 64)
Symmetry-distinct sites (fractional):
Zn: 0.0000 0.1108 0.1130 [8 per cell]
Mo: 0.0000 0.0000 0.5000 [4 per cell]
Mo: 0.2500 0.1483 0.7500 [8 per cell]
O: 0.0000 0.0228 0.7444 [8 per cell]
O: 0.0000 0.2432 0.2459 [8 per cell]
O: 0.2407 0.1133 0.5212 [16 per cell]